1.
Computed X-ray powder pattern
Compound: CeMg6Co
Radiation: Cu Kα X-rays
Structure: a crystal structure in Alexandria, relaxed with GGA-PBE
Kinematic intensities with the Lorentz-polarization factor, no thermal factor.

Cell and atoms:
```
data_CeMg6Co
_chemical_formula_sum 'Ce2 Mg12 Co2'
_cell_length_a 4.8229
_cell_length_b 6.2133
_cell_length_c 12.0094
_cell_angle_alpha 90.00
_cell_angle_beta 90.00
_cell_angle_gamma 90.00
_space_group_name_H-M_alt 'A m m 2'
_space_group_IT_number 38
loop_
_space_group_symop_operation_xyz
'x,y,z'
'-x,-y,z'
'-x,y,z'
'x,-y,z'
'x,y+1/2,z+1/2'
'-x,-y+1/2,z+1/2'
'-x,y+1/2,z+1/2'
'x,-y+1/2,z+1/2'
loop_
_atom_site_label
_atom_site_type_symbol
_atom_site_fract_x
_atom_site_fract_y
_atom_site_fract_z
Ce1 Ce 0.0000 0.0000 0.0000
Mg1 Mg 0.0000 0.0000 0.4441
Mg2 Mg 0.0000 0.2438 0.7261
Mg3 Mg 0.5000 0.0000 0.6042
Mg4 Mg 0.5000 0.2425 0.8681
Co1 Co 0.5000 0.0000 0.0632
```

Largest 10 diffraction maxima, in order of falling intensity, 2θ from 10° to 90°:
- (0 1 1), 2θ = 16.06°, intensity 100
- (0 2 2), 2θ = 32.45°, intensity 74
- (0 0 2), 2θ = 14.75°, intensity 63
- (1 0 4), 2θ = 35.21°, intensity 54
- (1 2 2), 2θ = 37.55°, intensity 48
- (0 1 3), 2θ = 26.49°, intensity 37
- (2 2 2), 2θ = 50.25°, intensity 34
- (2 0 0), 2θ = 37.29°, intensity 33
- (0 1 5), 2θ = 40.28°, intensity 22
- (2 1 1), 2θ = 40.84°, intensity 19

=====

2.
Computed X-ray powder pattern
Compound: Ta4Ti4Mo3
Radiation: Cu Kα X-rays
Structure: a crystal structure in Alexandria, relaxed with GGA-PBE
Kinematic intensities with the Lorentz-polarization factor, no thermal factor.

Cell and atoms:
```
data_Ta4Ti4Mo3
_chemical_formula_sum 'Ta8 Ti8 Mo6'
_cell_length_a 28.9787
_cell_length_b 4.5311
_cell_length_c 2.8701
_cell_angle_alpha 90.00
_cell_angle_beta 95.36
_cell_angle_gamma 90.00
_space_group_name_H-M_alt 'C 1 2/m 1'
_space_group_IT_number 12
loop_
_space_group_symop_operation_xyz
'x,y,z'
'-x,-y,-z'
'-x,y,-z'
'x,-y,z'
'x+1/2,y+1/2,z'
'-x+1/2,-y+1/2,-z'
'-x+1/2,y+1/2,-z'
'x+1/2,-y+1/2,z'
loop_
_atom_site_label
_atom_site_type_symbol
_atom_site_fract_x
_atom_site_fract_y
_atom_site_fract_z
Ta1 Ta 0.0458 0.0000 0.3412
Ta2 Ta 0.1814 0.5000 0.4526
Ti1 Ti 0.0911 0.5000 0.7920
Ti2 Ti 0.2252 0.0000 0.9402
Mo1 Mo 0.0000 0.5000 0.0000
Mo2 Mo 0.1354 0.0000 0.1317
```

Largest 10 diffraction maxima, in order of falling intensity, 2θ from 10° to 90°:
- (0 2 0), 2θ = 39.73°, intensity 100
- (3 1 1), 2θ = 39.14°, intensity 65
- (8 0 -1), 2θ = 38.32°, intensity 34
- (11 3 0), 2θ = 72.20°, intensity 22
- (8 2 -1), 2θ = 56.43°, intensity 22
- (3 1 0), 2θ = 21.68°, intensity 17
- (3 3 1), 2θ = 71.80°, intensity 12
- (5 1 0), 2θ = 24.99°, intensity 12
- (6 0 0), 2θ = 18.45°, intensity 12
- (19 1 -1), 2θ = 70.60°, intensity 11